For Re2Mo3C, DFT lattice parameters and positions (GGA-PBE) gives the computed powder diffraction line list in this record (Cu Kα (weighted mean of Kα1 and Kα2)).

Crystal structure
```
Re2Mo3C
1.0
6.9484 0.0000 0.0000
0.0000 6.9484 0.0000
0.0000 0.0000 6.9484
Re Mo C
8 12 4
Direct
0.0666 0.0666 0.0666 Re
0.1834 0.8166 0.3166 Re
0.3166 0.1834 0.8166 Re
0.4334 0.9334 0.5666 Re
0.5666 0.4334 0.9334 Re
0.6834 0.6834 0.6834 Re
0.8166 0.3166 0.1834 Re
0.9334 0.5666 0.4334 Re
0.0450 0.8750 0.7050 Mo
0.1250 0.2050 0.4550 Mo
0.2050 0.4550 0.1250 Mo
0.2950 0.5450 0.6250 Mo
0.3750 0.7950 0.9550 Mo
0.4550 0.1250 0.2050 Mo
0.5450 0.6250 0.2950 Mo
0.6250 0.2950 0.5450 Mo
0.7050 0.0450 0.8750 Mo
0.7950 0.9550 0.3750 Mo
0.8750 0.7050 0.0450 Mo
0.9550 0.3750 0.7950 Mo
0.1250 0.6250 0.8750 C
0.3750 0.3750 0.3750 C
0.6250 0.8750 0.1250 C
0.8750 0.1250 0.6250 C
```

Largest 10 diffraction maxima, in order of rising 2θ, 2θ = 15–90°:
2θ/deg	I_rel
18.05	187
22.16	116
38.88	1000
41.08	561
43.18	254
49.06	217
54.45	97
68.91	321
73.38	277
83.47	130



For Sm2Mo2C3, DFT lattice parameters and positions (GGA-PBE) gives the computed powder diffraction line list in this record (Cu Kα (weighted mean of Kα1 and Kα2)).

Crystal structure
```
Sm2Mo2C3
1.0
5.6912 -1.7321 0.0000
5.6912 1.7321 0.0000
-1.6501 0.0000 5.5942
Sm Mo C
2 2 3
Direct
0.1111 0.1111 0.3237 Sm
0.8889 0.8889 0.6763 Sm
0.3476 0.3476 0.1178 Mo
0.6524 0.6524 0.8822 Mo
0.2246 0.2246 0.7661 C
0.5000 0.5000 0.0000 C
0.7754 0.7754 0.2339 C
```

Largest 10 diffraction maxima, in order of rising 2θ, 2θ = 15–90°:
2θ/deg	I_rel
25.83	164
31.54	481
32.65	1000
32.81	389
36.27	837
40.17	231
49.33	129
52.86	165
54.40	171
62.87	135



For Tb2Mo2C3, DFT lattice parameters and positions (GGA-PBE) gives the computed powder diffraction line list in this record (Cu Kα (weighted mean of Kα1 and Kα2)).

Crystal structure
```
Tb2Mo2C3
1.0
5.9250 -1.6806 0.0000
5.9250 1.6806 0.0000
-2.2435 0.0000 5.2960
Tb Mo C
2 2 3
Direct
0.1096 0.1096 0.3227 Tb
0.8904 0.8904 0.6773 Tb
0.3422 0.3422 0.1749 Mo
0.6578 0.6578 0.8251 Mo
0.2512 0.2512 0.7677 C
0.5000 0.5000 0.5000 C
0.7488 0.7488 0.2323 C
```

Largest 10 diffraction maxima, in order of rising 2θ, 2θ = 15–90°:
2θ/deg	I_rel
27.72	290
30.45	291
31.27	382
32.83	426
33.85	258
34.27	1000
35.84	938
43.42	232
49.82	219
55.39	202



For Tm2Mo2C3, DFT lattice parameters and positions (GGA-PBE) gives the computed powder diffraction line list in this record (Cu Kα (weighted mean of Kα1 and Kα2)).

Crystal structure
```
Tm2Mo2C3
1.0
5.7911 -1.6547 0.0000
5.7911 1.6547 0.0000
-2.0721 0.0000 5.2694
Tm Mo C
2 2 3
Direct
0.1110 0.1110 0.3280 Tm
0.8890 0.8890 0.6720 Tm
0.3442 0.3442 0.1724 Mo
0.6558 0.6558 0.8276 Mo
0.2527 0.2527 0.7633 C
0.5000 0.5000 0.5000 C
0.7473 0.7473 0.2367 C
```

Largest 10 diffraction maxima, in order of rising 2θ, 2θ = 15–90°:
2θ/deg	I_rel
31.27	252
31.88	405
33.25	442
34.03	220
34.60	1000
36.63	921
43.40	251
50.54	235
55.54	176
58.92	173



For Tm2Mo2C3, DFT lattice parameters and positions (GGA-PBE) gives the computed powder diffraction line list in this record (Cu Kα (weighted mean of Kα1 and Kα2)).

Crystal structure
```
Tm2Mo2C3
1.0
5.6418 -1.6811 0.0000
5.6418 1.6811 0.0000
-1.8188 0.0000 5.3479
Tm Mo C
2 2 3
Direct
0.1150 0.1150 0.3175 Tm
0.8850 0.8850 0.6825 Tm
0.3514 0.3514 0.1304 Mo
0.6486 0.6486 0.8696 Mo
0.2296 0.2296 0.7539 C
0.5000 0.5000 0.0000 C
0.7704 0.7704 0.2461 C
```

Largest 10 diffraction maxima, in order of rising 2θ, 2θ = 15–90°:
2θ/deg	I_rel
27.13	155
32.26	536
33.55	581
33.96	1000
36.89	875
42.40	238
54.59	165
58.27	151
64.85	145
65.62	169



For UMoC2, DFT lattice parameters and positions (GGA-PBE) gives the computed powder diffraction line list in this record (Cu Kα (weighted mean of Kα1 and Kα2)).

Crystal structure
```
UMoC2
1.0
5.6349 0.0000 0.0000
0.0000 3.2229 0.0000
0.0000 0.0000 11.0859
U Mo C
4 4 8
Direct
0.0798 0.2500 0.1420 U
0.4202 0.7500 0.6420 U
0.5798 0.2500 0.3580 U
0.9202 0.7500 0.8580 U
0.0790 0.7500 0.3988 Mo
0.4210 0.2500 0.8988 Mo
0.5790 0.7500 0.1012 Mo
0.9210 0.2500 0.6012 Mo
0.1618 0.2500 0.7559 C
0.2494 0.7500 0.9930 C
0.2506 0.2500 0.4930 C
0.3382 0.7500 0.2559 C
0.6618 0.2500 0.7441 C
0.7494 0.7500 0.5070 C
0.7506 0.2500 0.0070 C
0.8382 0.7500 0.2441 C
```

Largest 10 diffraction maxima, in order of rising 2θ, 2θ = 15–90°:
2θ/deg	I_rel
28.88	389
32.30	307
32.80	295
33.02	150
35.96	1000
40.25	141
40.44	146
57.39	179
62.51	140
67.20	145



For MoWC2, DFT lattice parameters and positions (GGA-PBE) gives the computed powder diffraction line list in this record (Cu Kα (weighted mean of Kα1 and Kα2)).

Crystal structure
```
MoWC2
1.0
2.8423 0.0000 0.0000
0.0000 2.9303 0.0000
0.0000 0.0000 5.0617
Mo W C
1 1 2
Direct
0.0000 0.0000 0.0000 Mo
0.0000 0.5000 0.5011 W
0.5000 0.0000 0.3359 C
0.5000 0.5000 0.8332 C
```

Largest 10 diffraction maxima, in order of rising 2θ, 2θ = 15–90°:
2θ/deg	I_rel
17.52	169
31.48	416
35.42	1000
48.10	964
63.64	145
72.59	79
72.73	157
74.89	77
76.92	215
83.48	131



For YMoC2, DFT lattice parameters and positions (GGA-PBE) gives the computed powder diffraction line list in this record (Cu Kα (weighted mean of Kα1 and Kα2)).

Crystal structure
```
YMoC2
1.0
5.7150 0.0000 0.0000
0.0000 3.4041 0.0000
0.0000 0.0000 10.8020
Y Mo C
4 4 8
Direct
0.0855 0.2500 0.1374 Y
0.4145 0.7500 0.6374 Y
0.5855 0.2500 0.3626 Y
0.9145 0.7500 0.8626 Y
0.0973 0.7500 0.3906 Mo
0.4027 0.2500 0.8906 Mo
0.5973 0.7500 0.1094 Mo
0.9027 0.2500 0.6094 Mo
0.1590 0.2500 0.7528 C
0.2228 0.2500 0.4840 C
0.2772 0.7500 0.9840 C
0.3410 0.7500 0.2528 C
0.6590 0.2500 0.7472 C
0.7228 0.2500 0.0160 C
0.7772 0.7500 0.5160 C
0.8410 0.7500 0.2472 C
```

Largest 10 diffraction maxima, in order of rising 2θ, 2θ = 15–90°:
2θ/deg	I_rel
31.70	214
32.41	305
33.17	291
34.89	1000
39.70	166
40.29	244
53.87	126
55.97	198
60.38	153
61.43	101



For NaC2N3, DFT lattice parameters and positions (GGA-PBE) gives the computed powder diffraction line list in this record (Cu Kα (weighted mean of Kα1 and Kα2)).

Crystal structure
```
NaC2N3
1.0
3.6072 0.0000 0.0000
0.0000 15.1281 0.0000
-3.2528 0.0000 6.5199
Na C N
4 8 12
Direct
0.1194 0.0875 0.3583 Na
0.1194 0.4125 0.8583 Na
0.8806 0.5875 0.1417 Na
0.8806 0.9125 0.6417 Na
0.2760 0.7265 0.5428 C
0.2760 0.7735 0.0428 C
0.3995 0.5832 0.6542 C
0.3995 0.9168 0.1542 C
0.6005 0.0832 0.8458 C
0.6005 0.4168 0.3458 C
0.7240 0.2265 0.9572 C
0.7240 0.2735 0.4572 C
0.2272 0.6416 0.5110 N
0.2272 0.8584 0.0110 N
0.3034 0.6957 0.0581 N
0.3034 0.8043 0.5581 N
0.4537 0.0254 0.7247 N
0.4537 0.4746 0.2247 N
0.5463 0.5254 0.7753 N
0.5463 0.9746 0.2753 N
0.6966 0.1957 0.4419 N
0.6966 0.3043 0.9419 N
0.7728 0.1416 0.9890 N
0.7728 0.3584 0.4890 N
```

Largest 10 diffraction maxima, in order of rising 2θ, 2θ = 15–90°:
2θ/deg	I_rel
27.43	1000
28.00	543
28.27	397
29.57	352
29.84	572
32.71	170
34.38	421
36.62	196
47.34	157
50.69	278



For NaC2N3, DFT lattice parameters and positions (GGA-PBE) gives the computed powder diffraction line list in this record (Cu Kα (weighted mean of Kα1 and Kα2)).

Crystal structure
```
NaC2N3
1.0
4.2921 0.0000 0.0000
0.0000 18.8527 0.0000
-3.7757 0.0000 4.3701
Na C N
4 8 12
Direct
0.0666 0.1730 0.0241 Na
0.0666 0.3270 0.5241 Na
0.9334 0.6730 0.4759 Na
0.9334 0.8270 0.9759 Na
0.0014 0.5061 0.8779 C
0.0014 0.9939 0.3779 C
0.1937 0.1666 0.5058 C
0.1937 0.3334 0.0058 C
0.8063 0.6666 0.9942 C
0.8063 0.8334 0.4942 C
0.9986 0.0061 0.6221 C
0.9986 0.4939 0.1221 C
0.2757 0.1879 0.7324 N
0.2757 0.3121 0.2324 N
0.3212 0.5121 0.8867 N
0.3212 0.9879 0.3867 N
0.3528 0.0212 0.9288 N
0.3528 0.4788 0.4288 N
0.6472 0.5212 0.5712 N
0.6472 0.9788 0.0712 N
0.6788 0.0121 0.6133 N
0.6788 0.4879 0.1133 N
0.7243 0.6879 0.7676 N
0.7243 0.8121 0.2676 N
```

Largest 10 diffraction maxima, in order of rising 2θ, 2θ = 15–90°:
2θ/deg	I_rel
18.83	289
24.82	142
27.87	345
28.41	1000
32.44	468
36.50	242
43.66	98
46.73	133
47.47	90
49.97	111